1.
For Tm2Al2Ni3Pt, a structure optimized by DFT (GGA-PBE) gives the calculated powder X-ray diffraction pattern in this record (Cu Kα X-rays).
Neutral-atom scattering factors, no anomalous dispersion.

Principal peaks in the range 2θ = 10–90°, in order of rising 2θ:
Position (°2θ)  intensity  index
10.07  12.1  0 0 1
24.58  47.3  1 0 0
26.62  22.8  0 1 1
32.03  15.5  0 1 2
39.57  100.0  1 0 3
43.26  60.4  1 1 0
50.38  6.9  2 0 0
60.06  29.1  0 2 3
69.20  8.3  0 1 6
76.86  28.0  2 1 3
79.36  10.0  3 0 0
79.99  13.2  1 1 6

Cell and atoms:
```
Tm2Al2Ni3Pt
1.0
4.183 0.000 0.000
-2.091 3.622 0.000
0.000 0.000 8.786
Tm Al Ni Pt
2 2 3 1
Cartesian
0.000 0.000 0.000 Tm
0.000 2.415 4.497 Tm
2.091 1.207 2.177 Al
2.091 1.207 6.664 Al
0.000 0.000 6.063 Ni
0.000 2.415 1.520 Ni
0.000 2.415 7.258 Ni
0.000 0.000 2.929 Pt
```

***

2.
For SrZnSi3, a structure optimized by DFT (GGA-PBE) gives the calculated powder X-ray diffraction pattern in this record (Cu Kα X-rays).
Neutral-atom scattering factors, no anomalous dispersion.

Principal peaks in the range 2θ = 10–90°, in order of rising 2θ:
Position (°2θ)  intensity  index
21.85  12.4  1 0 1
28.19  51.7  1 1 0
33.77  84.2  1 1 2
34.13  100.0  1 0 3
40.29  68.8  2 0 0
51.16  27.3  1 0 5
53.80  52.5  2 1 3
58.29  22.5  2 2 0
64.54  13.9  1 1 6
67.05  23.7  2 1 5
69.09  20.1  3 1 2
83.32  14.6  3 2 3

Cell and atoms:
```
SrZnSi3
1.0
4.477 0.000 0.000
0.000 4.477 0.000
0.000 0.000 9.734
Sr Zn Si
2 2 6
Cartesian
0.000 0.000 0.000 Sr
2.239 2.239 4.867 Sr
0.000 0.000 6.084 Zn
2.239 2.239 1.217 Zn
0.000 0.000 3.575 Si
0.000 2.239 2.450 Si
0.000 2.239 7.317 Si
2.239 0.000 2.450 Si
2.239 0.000 7.317 Si
2.239 2.239 8.442 Si
```